# 1
Simulated powder diffractogram
Compound: Nb2Tl5S4Cl9
Radiation: Cu Kα, 1.54184 Å
Structure: a PBE-relaxed structure
No peak broadening, texture or thermal motion is included.

Structure:
```
Nb2Tl5S4Cl9
1.0
-3.535 4.833 7.862
3.535 -4.833 7.862
3.535 4.833 -7.862
Nb Tl S Cl
2 5 4 9
Direct
0.093 0.093 0.000 Nb
0.907 0.907 0.000 Nb
0.115 0.334 0.781 Tl
0.447 0.666 0.781 Tl
0.500 0.000 0.500 Tl
0.553 0.334 0.219 Tl
0.885 0.666 0.219 Tl
0.104 0.253 0.357 S
0.104 0.747 0.851 S
0.896 0.253 0.149 S
0.896 0.747 0.643 S
0.125 0.864 0.261 Cl
0.212 0.455 0.244 Cl
0.212 0.968 0.756 Cl
0.398 0.136 0.261 Cl
0.500 0.500 0.000 Cl
0.602 0.864 0.739 Cl
0.788 0.032 0.244 Cl
0.788 0.545 0.756 Cl
0.875 0.136 0.739 Cl
```

Principal peaks in the range 10° ≤ 2θ ≤ 90°, in order of rising 2θ:
4.210 Å, 21.10 deg, I = 100; 4.117 Å, 21.59 deg, I = 55; 3.867 Å, 23.00 deg, I = 95; 3.535 Å, 25.19 deg, I = 63; 2.745 Å, 32.62 deg, I = 45; 2.682 Å, 33.41 deg, I = 64

=====

# 2
Simulated powder diffractogram
Compound: LaNd2Si4Au4
Radiation: Cu Kα, 1.54184 Å
Structure: a PBE-relaxed structure
No peak broadening, texture or thermal motion is included.

Structure:
```
LaNd2Si4Au4
1.0
-2.156 2.159 12.599
2.156 -2.159 12.599
2.156 2.159 -12.599
La Nd Si Au
1 2 4 4
Direct
0.000 0.000 0.000 La
0.351 0.851 0.500 Nd
0.649 0.149 0.500 Nd
0.192 0.692 0.500 Si
0.452 0.452 0.000 Si
0.548 0.548 0.000 Si
0.808 0.308 0.500 Si
0.095 0.595 0.500 Au
0.250 0.250 0.000 Au
0.750 0.750 0.000 Au
0.905 0.405 0.500 Au
```

Principal peaks in the range 10° ≤ 2θ ≤ 90°, in order of rising 2θ:
3.277 Å, 27.21 deg, I = 17; 2.764 Å, 32.39 deg, I = 25; 2.746 Å, 32.61 deg, I = 100; 2.158 Å, 41.87 deg, I = 39; 2.023 Å, 44.79 deg, I = 15; 1.334 Å, 70.63 deg, I = 22

=====

# 3
Simulated powder diffractogram
Compound: AlSbMoH6
Radiation: Cu Kα, 1.54184 Å
Structure: a PBE-relaxed structure
No peak broadening, texture or thermal motion is included.

Structure:
```
AlSbMoH6
1.0
0.000 3.299 3.299
3.299 0.000 3.299
3.299 3.299 0.000
Al Sb Mo H
1 1 1 6
Direct
0.000 0.000 0.000 Al
0.250 0.250 0.250 Sb
0.500 0.500 0.500 Mo
0.596 0.596 0.904 H
0.596 0.904 0.596 H
0.596 0.904 0.904 H
0.904 0.596 0.596 H
0.904 0.596 0.904 H
0.904 0.904 0.596 H
```

Principal peaks in the range 10° ≤ 2θ ≤ 90°, in order of rising 2θ:
3.809 Å, 23.35 deg, I = 74; 2.333 Å, 38.59 deg, I = 100; 1.989 Å, 45.60 deg, I = 40; 1.650 Å, 55.73 deg, I = 17; 1.514 Å, 61.23 deg, I = 17; 1.347 Å, 69.83 deg, I = 33

=====

# 4
Simulated powder diffractogram
Compound: Er2Pt2O5
Radiation: Cu Kα, 1.54184 Å
Structure: a PBE-relaxed structure
No peak broadening, texture or thermal motion is included.

Structure:
```
Er2Pt2O5
1.0
4.029 0.000 0.000
0.000 4.029 0.000
0.000 0.000 6.858
Er Pt O
2 2 5
Direct
0.000 0.000 0.000 Er
0.000 0.000 0.500 Er
0.500 0.500 0.191 Pt
0.500 0.500 0.809 Pt
0.000 0.500 0.239 O
0.000 0.500 0.761 O
0.500 0.000 0.239 O
0.500 0.000 0.761 O
0.500 0.500 0.500 O
```

Principal peaks in the range 10° ≤ 2θ ≤ 90°, in order of rising 2θ:
2.849 Å, 31.40 deg, I = 78; 2.611 Å, 34.34 deg, I = 100; 2.014 Å, 45.00 deg, I = 42; 1.988 Å, 45.63 deg, I = 16; 1.595 Å, 57.81 deg, I = 46; 1.274 Å, 74.47 deg, I = 14

=====

# 5
Simulated powder diffractogram
Compound: LaPrNCl
Radiation: Cu Kα, 1.54184 Å
Structure: a PBE-relaxed structure
No peak broadening, texture or thermal motion is included.

Structure:
```
LaPrNCl
1.0
3.719 0.000 0.000
-1.859 3.221 0.000
0.000 0.000 14.340
La Pr N Cl
2 2 2 2
Direct
0.333 0.667 0.096 La
0.667 0.333 0.904 La
0.333 0.667 0.407 Pr
0.667 0.333 0.593 Pr
0.000 0.000 0.000 N
0.000 0.000 0.500 N
0.333 0.667 0.745 Cl
0.667 0.333 0.255 Cl
```

Principal peaks in the range 10° ≤ 2θ ≤ 90°, in order of rising 2θ:
3.221 Å, 27.70 deg, I = 24; 3.142 Å, 28.40 deg, I = 23; 2.671 Å, 33.55 deg, I = 100; 2.393 Å, 37.59 deg, I = 23; 1.859 Å, 48.99 deg, I = 25; 1.468 Å, 63.37 deg, I = 19

=====

# 6
Simulated powder diffractogram
Compound: Ba2UCu4Se6
Radiation: Cu Kα, 1.54184 Å
Structure: a PBE-relaxed structure
No peak broadening, texture or thermal motion is included.

Structure:
```
Ba2UCu4Se6
1.0
7.281 0.000 0.000
0.000 9.878 0.000
-2.767 0.000 8.576
Ba U Cu Se
4 2 8 12
Direct
0.014 0.232 0.124 Ba
0.014 0.268 0.624 Ba
0.986 0.732 0.376 Ba
0.986 0.768 0.876 Ba
0.500 0.000 0.500 U
0.500 0.500 0.000 U
0.435 0.747 0.235 Cu
0.435 0.753 0.735 Cu
0.495 0.501 0.639 Cu
0.495 0.999 0.139 Cu
0.505 0.001 0.861 Cu
0.505 0.499 0.361 Cu
0.565 0.247 0.265 Cu
0.565 0.253 0.765 Cu
0.211 0.562 0.711 Se
0.211 0.938 0.211 Se
0.215 0.552 0.148 Se
0.215 0.948 0.648 Se
0.389 0.217 0.970 Se
0.389 0.283 0.470 Se
0.611 0.717 0.530 Se
0.611 0.783 0.030 Se
0.785 0.052 0.352 Se
0.785 0.448 0.852 Se
0.789 0.062 0.789 Se
0.789 0.438 0.289 Se
```

Principal peaks in the range 10° ≤ 2θ ≤ 90°, in order of rising 2θ:
6.930 Å, 12.77 deg, I = 67; 3.071 Å, 29.08 deg, I = 100; 3.063 Å, 29.16 deg, I = 67; 2.701 Å, 33.17 deg, I = 65; 2.470 Å, 36.38 deg, I = 59; 2.092 Å, 43.24 deg, I = 55

=====

# 7
Simulated powder diffractogram
Compound: ZrInHg3O4
Radiation: Cu Kα, 1.54184 Å
Structure: a PBE-relaxed structure
No peak broadening, texture or thermal motion is included.

Structure:
```
ZrInHg3O4
1.0
5.975 0.000 0.000
0.000 5.975 0.000
0.000 0.000 5.975
Zr In Hg O
1 1 3 4
Direct
0.000 0.000 0.000 Zr
0.500 0.500 0.500 In
0.000 0.000 0.500 Hg
0.000 0.500 0.000 Hg
0.500 0.000 0.000 Hg
0.196 0.196 0.804 O
0.196 0.804 0.196 O
0.804 0.196 0.196 O
0.804 0.804 0.804 O
```

Principal peaks in the range 10° ≤ 2θ ≤ 90°, in order of rising 2θ:
5.975 Å, 14.83 deg, I = 28; 3.450 Å, 25.83 deg, I = 100; 2.987 Å, 29.91 deg, I = 77; 2.112 Å, 42.81 deg, I = 74; 1.801 Å, 50.67 deg, I = 51; 1.336 Å, 70.48 deg, I = 30

=====

# 8
Simulated powder diffractogram
Compound: Nb4Co3Mo2N3
Radiation: Cu Kα, 1.54184 Å
Structure: a PBE-relaxed structure
No peak broadening, texture or thermal motion is included.

Structure:
```
Nb4Co3Mo2N3
1.0
4.478 -2.561 0.000
4.478 2.561 0.000
-2.994 0.000 13.138
Nb Co Mo N
8 6 4 6
Direct
0.029 0.202 0.096 Nb
0.134 0.301 0.404 Nb
0.202 0.029 0.596 Nb
0.301 0.134 0.904 Nb
0.699 0.866 0.096 Nb
0.798 0.971 0.404 Nb
0.866 0.699 0.596 Nb
0.971 0.798 0.904 Nb
0.006 0.416 0.750 Co
0.162 0.838 0.750 Co
0.416 0.006 0.250 Co
0.584 0.994 0.750 Co
0.838 0.162 0.250 Co
0.994 0.584 0.250 Co
0.377 0.545 0.125 Mo
0.455 0.623 0.375 Mo
0.545 0.377 0.625 Mo
0.623 0.455 0.875 Mo
0.000 0.500 0.000 N
0.199 0.650 0.500 N
0.350 0.801 0.000 N
0.500 0.000 0.500 N
0.650 0.199 0.000 N
0.801 0.350 0.500 N
```

Principal peaks in the range 10° ≤ 2θ ≤ 90°, in order of rising 2θ:
2.531 Å, 35.47 deg, I = 61; 2.514 Å, 35.71 deg, I = 30; 2.223 Å, 40.59 deg, I = 100; 2.211 Å, 40.81 deg, I = 50; 2.029 Å, 44.67 deg, I = 62; 2.020 Å, 44.88 deg, I = 28